Diffraction record for LiLa4MnO8. The X-ray diffraction stick pattern is simulated, not measured: it uses DFT lattice parameters and positions (GGA+U) and Cu Kα (weighted mean of Kα1 and Kα2).

The 10 most intense peaks (2θ = 10–90°), most intense first:
2θ (°)  intensity  h k l
31.3  100  1 3 1
33.1  74  2 0 0
24.2  61  1 1 1
43.6  52  2 4 0
47.5  38  2 0 2
58.0  36  3 3 1
27.6  25  0 4 0
55.3  21  1 7 1
42.2  20  1 5 1
75.8  17  3 7 1

Structure:
Cell lengths 5.4154, 12.9054, 5.4156 Å; angles 90.00, 90.00, 90.00 degrees
Space group Cmmm (No. 65)
Asymmetric unit:
Li: 0.0000 0.0000 0.0000 x2
La: 0.0000 0.1370 0.5000 x4
La: 0.0000 0.3614 0.0000 x4
Mn: 0.0000 0.5000 0.5000 x2
O: 0.0000 0.1823 0.0000 x4
O: 0.0000 0.3194 0.5000 x4
O: 0.2480 0.5000 0.2536 x8